[1]
Simulated powder X-ray diffraction pattern
Compound: YbGaO3
Radiation: copper Kα
Structure: the GGA-PBE geometry in Alexandria
Lines closer than 0.1° are merged.

Structural model:
```
YbGaO3
1.0
5.608 0.000 0.000
0.000 7.575 0.000
0.000 0.000 5.347
Yb Ga O
4 4 12
direct
0.066 0.250 0.016
0.434 0.750 0.516
0.566 0.250 0.484
0.934 0.750 0.984
0.000 0.000 0.500
0.000 0.500 0.500
0.500 0.000 0.000
0.500 0.500 0.000
0.038 0.750 0.393
0.196 0.554 0.806
0.196 0.946 0.806
0.304 0.054 0.306
0.304 0.446 0.306
0.462 0.250 0.893
0.538 0.750 0.107
0.696 0.554 0.694
0.696 0.946 0.694
0.804 0.054 0.194
0.804 0.446 0.194
0.962 0.250 0.607
```

Largest 6 diffraction maxima, by angle, 10 to 90 degrees two-theta:
2θ = 25.85°, I = 18.9; 2θ = 31.92°, I = 19.2; 2θ = 33.09°, I = 100.0; 2θ = 33.52°, I = 25.4; 2θ = 48.54°, I = 19.0; 2θ = 59.66°, I = 22.2

=====

[2]
Simulated powder X-ray diffraction pattern
Compound: ZnGaO
Radiation: copper Kα
Structure: the GGA-PBE geometry in Alexandria
Lines closer than 0.1° are merged.

Structural model:
```
ZnGaO
1.0
10.910 0.000 0.000
0.000 2.879 0.000
0.000 0.000 5.076
Zn Ga O
4 4 4
direct
0.217 0.000 0.000
0.217 0.500 0.500
0.783 0.000 0.000
0.783 0.500 0.500
0.000 0.000 0.708
0.000 0.500 0.208
0.500 0.000 0.798
0.500 0.500 0.298
0.390 0.000 0.472
0.390 0.500 0.972
0.610 0.000 0.472
0.610 0.500 0.972
```

Largest 6 diffraction maxima, by angle, 10 to 90 degrees two-theta:
2θ = 32.84°, I = 49.9; 2θ = 35.86°, I = 54.8; 2θ = 39.14°, I = 85.6; 2θ = 39.60°, I = 100.0; 2θ = 43.89°, I = 38.2; 2θ = 49.40°, I = 51.2

=====

[3]
Simulated powder X-ray diffraction pattern
Compound: Ga13Os2
Radiation: copper Kα
Structure: the GGA-PBE geometry in Alexandria
Lines closer than 0.1° are merged.

Structural model:
```
Ga13Os2
1.0
5.122 0.000 0.000
0.047 7.271 0.000
1.064 2.042 7.003
Ga Os
13 2
direct
0.000 0.000 0.000
0.049 0.612 0.259
0.122 0.244 0.384
0.265 0.546 0.910
0.300 0.965 0.669
0.412 0.653 0.523
0.466 0.200 0.974
0.534 0.800 0.026
0.588 0.347 0.477
0.700 0.035 0.331
0.735 0.454 0.090
0.878 0.756 0.616
0.951 0.388 0.741
0.226 0.930 0.284
0.774 0.070 0.716
```

Largest 6 diffraction maxima, by angle, 10 to 90 degrees two-theta:
2θ = 12.68°, I = 89.8; 2θ = 33.19°, I = 45.2; 2θ = 40.06°, I = 49.8; 2θ = 41.59°, I = 40.3; 2θ = 43.35°, I = 100.0; 2θ = 44.23°, I = 45.2

=====

[4]
Simulated powder X-ray diffraction pattern
Compound: Ga2Os
Radiation: copper Kα
Structure: the GGA-PBE geometry in Alexandria
Lines closer than 0.1° are merged.

Structural model:
```
Ga2Os
1.0
0.000 4.164 4.393
2.385 0.000 4.393
2.385 4.164 0.000
Ga Os
4 2
direct
0.043 0.707 0.043
0.293 0.957 0.293
0.707 0.043 0.707
0.957 0.293 0.957
0.375 0.375 0.375
0.625 0.625 0.625
```

Largest 6 diffraction maxima, by angle, 10 to 90 degrees two-theta:
2θ = 23.76°, I = 40.8; 2θ = 38.91°, I = 100.0; 2θ = 41.09°, I = 42.9; 2θ = 43.16°, I = 74.6; 2θ = 49.09°, I = 51.3; 2θ = 76.30°, I = 27.5

=====

[5]
Simulated powder X-ray diffraction pattern
Compound: Ga6Os
Radiation: copper Kα
Structure: the GGA-PBE geometry in Alexandria
Lines closer than 0.1° are merged.

Structural model:
```
Ga6Os
1.0
3.712 -3.356 0.000
3.712 3.356 0.000
0.000 0.000 9.406
Ga Os
12 2
direct
0.023 0.618 0.250
0.137 0.863 0.602
0.137 0.863 0.898
0.317 0.317 0.000
0.317 0.317 0.500
0.382 0.977 0.250
0.618 0.023 0.750
0.683 0.683 0.000
0.683 0.683 0.500
0.863 0.137 0.102
0.863 0.137 0.398
0.977 0.382 0.750
0.466 0.534 0.750
0.534 0.466 0.250
```

Largest 6 diffraction maxima, by angle, 10 to 90 degrees two-theta:
2θ = 17.82°, I = 50.3; 2θ = 40.00°, I = 48.7; 2θ = 41.02°, I = 95.6; 2θ = 42.19°, I = 52.4; 2θ = 42.51°, I = 64.8; 2θ = 43.47°, I = 100.0

=====

[6]
Simulated powder X-ray diffraction pattern
Compound: GaTcPOs
Radiation: copper Kα
Structure: the GGA-PBE geometry in Alexandria
Lines closer than 0.1° are merged.

Structural model:
```
GaTcPOs
1.0
4.282 0.000 0.000
0.000 2.854 0.000
-1.010 0.000 4.839
Ga Tc P Os
1 1 1 1
direct
0.000 0.000 0.000
0.535 0.500 0.163
0.864 0.000 0.478
0.405 0.000 0.658
```

Largest 6 diffraction maxima, by angle, 10 to 90 degrees two-theta:
2θ = 21.20°, I = 81.4; 2θ = 36.56°, I = 100.0; 2θ = 37.16°, I = 44.4; 2θ = 39.00°, I = 68.2; 2θ = 40.57°, I = 77.4; 2θ = 44.63°, I = 87.4

=====

[7]
Simulated powder X-ray diffraction pattern
Compound: Pa6Ga3Os
Radiation: copper Kα
Structure: the GGA-PBE geometry in Alexandria
Lines closer than 0.1° are merged.

Structural model:
```
Pa6Ga3Os
1.0
5.451 3.147 4.729
-5.451 3.147 4.729
0.000 -6.294 4.729
Pa Ga Os
12 6 2
direct
0.106 0.765 0.765
0.164 0.511 0.512
0.235 0.235 0.894
0.235 0.894 0.235
0.488 0.836 0.489
0.489 0.488 0.836
0.511 0.512 0.164
0.512 0.164 0.511
0.765 0.106 0.765
0.765 0.765 0.106
0.836 0.489 0.488
0.894 0.235 0.235
0.118 0.536 0.119
0.119 0.118 0.536
0.464 0.881 0.882
0.536 0.119 0.118
0.881 0.882 0.464
0.882 0.464 0.881
0.000 0.000 0.000
0.500 0.500 0.500
```

Largest 6 diffraction maxima, by angle, 10 to 90 degrees two-theta:
2θ = 19.82°, I = 19.8; 2θ = 28.36°, I = 21.6; 2θ = 34.23°, I = 100.0; 2θ = 35.69°, I = 40.2; 2θ = 50.21°, I = 35.3; 2θ = 62.17°, I = 15.8

=====

[8]
Simulated powder X-ray diffraction pattern
Compound: Pr4Ga12Os
Radiation: copper Kα
Structure: the GGA-PBE geometry in Alexandria
Lines closer than 0.1° are merged.

Structural model:
```
Pr4Ga12Os
1.0
-4.415 4.415 4.415
4.415 -4.415 4.415
4.415 4.415 -4.415
Pr Ga Os
4 12 1
direct
0.000 0.000 0.500
0.000 0.500 0.000
0.500 0.000 0.000
0.500 0.500 0.500
0.000 0.289 0.289
0.000 0.711 0.711
0.250 0.500 0.750
0.250 0.750 0.500
0.289 0.000 0.289
0.289 0.289 0.000
0.500 0.250 0.750
0.500 0.750 0.250
0.711 0.000 0.711
0.711 0.711 0.000
0.750 0.250 0.500
0.750 0.500 0.250
0.000 0.000 0.000
```

Largest 6 diffraction maxima, by angle, 10 to 90 degrees two-theta:
2θ = 28.59°, I = 43.0; 2θ = 35.21°, I = 100.0; 2θ = 38.14°, I = 23.4; 2θ = 40.88°, I = 83.1; 2θ = 59.20°, I = 50.5; 2θ = 70.78°, I = 30.4

=====

[9]
Simulated powder X-ray diffraction pattern
Compound: Pu4Ga12Os
Radiation: copper Kα
Structure: the GGA-PBE geometry in Alexandria
Lines closer than 0.1° are merged.

Structural model:
```
Pu4Ga12Os
1.0
-4.322 4.322 4.322
4.322 -4.322 4.322
4.322 4.322 -4.322
Pu Ga Os
4 12 1
direct
0.000 0.000 0.500
0.000 0.500 0.000
0.500 0.000 0.000
0.500 0.500 0.500
0.000 0.289 0.289
0.000 0.711 0.711
0.250 0.500 0.750
0.250 0.750 0.500
0.289 0.000 0.289
0.289 0.289 0.000
0.500 0.250 0.750
0.500 0.750 0.250
0.711 0.000 0.711
0.711 0.711 0.000
0.750 0.250 0.500
0.750 0.500 0.250
0.000 0.000 0.000
```

Largest 6 diffraction maxima, by angle, 10 to 90 degrees two-theta:
2θ = 29.22°, I = 76.2; 2θ = 35.99°, I = 100.0; 2θ = 41.80°, I = 74.8; 2θ = 51.81°, I = 28.3; 2θ = 60.59°, I = 46.7; 2θ = 72.53°, I = 33.3

=====

[10]
Simulated powder X-ray diffraction pattern
Compound: Pu3Ga9Os2
Radiation: copper Kα
Structure: the GGA-PBE geometry in Alexandria
Lines closer than 0.1° are merged.

Structural model:
```
Pu3Ga9Os2
1.0
-2.176 4.738 6.158
2.176 -4.738 6.158
2.176 4.738 -6.158
Pu Ga Os
3 9 2
direct
0.000 0.000 0.000
0.300 0.300 0.000
0.700 0.700 0.000
0.015 0.652 0.364
0.149 0.868 0.281
0.288 0.652 0.636
0.414 0.132 0.281
0.500 0.000 0.500
0.586 0.868 0.719
0.712 0.348 0.364
0.851 0.132 0.719
0.985 0.348 0.636
0.329 0.500 0.829
0.671 0.500 0.171
```

Largest 6 diffraction maxima, by angle, 10 to 90 degrees two-theta:
2θ = 22.48°, I = 42.2; 2θ = 35.53°, I = 100.0; 2θ = 35.87°, I = 44.7; 2θ = 37.00°, I = 38.0; 2θ = 41.49°, I = 43.6; 2θ = 44.13°, I = 35.4

=====

[11]
Simulated powder X-ray diffraction pattern
Compound: Pu2GaOs3
Radiation: copper Kα
Structure: the GGA-PBE geometry in Alexandria
Lines closer than 0.1° are merged.

Structural model:
```
Pu2GaOs3
1.0
2.720 1.571 4.207
-2.720 1.571 4.207
0.000 -3.141 4.207
Pu Ga Os
2 1 3
direct
0.122 0.122 0.122
0.878 0.878 0.878
0.500 0.500 0.500
0.000 0.500 0.500
0.500 0.000 0.500
0.500 0.500 0.000
```

Largest 6 diffraction maxima, by angle, 10 to 90 degrees two-theta:
2θ = 34.20°, I = 69.9; 2θ = 38.89°, I = 100.0; 2θ = 39.45°, I = 93.2; 2θ = 40.55°, I = 50.5; 2θ = 40.89°, I = 54.2; 2θ = 69.05°, I = 34.0

=====

[12]
Simulated powder X-ray diffraction pattern
Compound: Sc6Ga5Os
Radiation: copper Kα
Structure: the GGA-PBE geometry in Alexandria
Lines closer than 0.1° are merged.

Structural model:
```
Sc6Ga5Os
1.0
2.349 -7.046 0.000
2.349 7.046 0.000
0.000 0.000 6.656
Sc Ga Os
6 5 1
direct
0.000 0.000 0.249
0.000 0.000 0.751
0.337 0.663 0.245
0.337 0.663 0.755
0.663 0.337 0.245
0.663 0.337 0.755
0.163 0.837 0.000
0.171 0.829 0.500
0.500 0.500 0.500
0.829 0.171 0.500
0.837 0.163 0.000
0.500 0.500 0.000
```

Largest 6 diffraction maxima, by angle, 10 to 90 degrees two-theta:
2θ = 26.82°, I = 14.9; 2θ = 38.29°, I = 100.0; 2θ = 55.20°, I = 5.5; 2θ = 55.30°, I = 10.9; 2θ = 69.23°, I = 32.2; 2θ = 81.97°, I = 8.3